No. 1
The following is a computed powder XRD pattern of PmNdPbCl. It was derived from a GGA-PBE-relaxed structure, using Cu Kα (weighted mean of Kα1 and Kα2).
Intensities are scaled so that the largest is 100.

Atomic structure:
Cell: 7.646 7.646 7.646 Å, 90.00 90.00 90.00°
Element x y z (fractional)
Pm (0.000, 0.000, 0.000)
Pm (0.000, 0.500, 0.500)
Pm (0.500, 0.000, 0.500)
Pm (0.500, 0.500, 0.000)
Nd (0.000, 0.000, 0.500)
Nd (0.000, 0.500, 0.000)
Nd (0.500, 0.000, 0.000)
Nd (0.500, 0.500, 0.500)
Pb (0.250, 0.250, 0.250)
Pb (0.250, 0.750, 0.750)
Pb (0.750, 0.250, 0.750)
Pb (0.750, 0.750, 0.250)
Cl (0.250, 0.250, 0.750)
Cl (0.250, 0.750, 0.250)
Cl (0.750, 0.250, 0.250)
Cl (0.750, 0.750, 0.750)

Peak list (12 most intense, 10 to 90 degrees two-theta, in order of rising 2θ)
2θ/deg	d/Å	I_rel
20.12	4.414	22
33.14	2.703	100
39.07	2.305	13
47.57	1.911	18
52.14	1.754	6
59.20	1.561	38
63.19	1.471	5
69.55	1.352	12
73.24	1.292	5
79.24	1.209	16
82.78	1.166	2
88.62	1.104	4

=====

No. 2
The following is a computed powder XRD pattern of Na2SrP4O12. It was derived from a GGA-PBE-relaxed structure, using Cu Kα (weighted mean of Kα1 and Kα2).
Intensities are scaled so that the largest is 100.

Atomic structure:
Cell: 9.986 9.986 5.054 Å, 90.00 90.00 90.00°
Element x y z (fractional)
Na (0.000, 0.000, 0.000)
Na (0.000, 0.500, 0.000)
Na (0.500, 0.000, 0.000)
Na (0.500, 0.500, 0.000)
Sr (0.250, 0.250, 0.000)
Sr (0.750, 0.750, 0.000)
P (0.038, 0.750, 0.500)
P (0.250, 0.538, 0.500)
P (0.250, 0.962, 0.500)
P (0.462, 0.750, 0.500)
P (0.538, 0.250, 0.500)
P (0.750, 0.038, 0.500)
P (0.750, 0.462, 0.500)
P (0.962, 0.250, 0.500)
O (0.036, 0.190, 0.271)
O (0.036, 0.310, 0.729)
O (0.140, 0.640, 0.630)
O (0.140, 0.860, 0.370)
O (0.190, 0.036, 0.729)
O (0.190, 0.464, 0.271)
O (0.310, 0.036, 0.271)
O (0.310, 0.464, 0.729)
O (0.360, 0.640, 0.370)
O (0.360, 0.860, 0.630)
O (0.464, 0.190, 0.729)
O (0.464, 0.310, 0.271)
O (0.536, 0.690, 0.729)
O (0.536, 0.810, 0.271)
O (0.640, 0.140, 0.370)
O (0.640, 0.360, 0.630)
O (0.690, 0.536, 0.271)
O (0.690, 0.964, 0.729)
O (0.810, 0.536, 0.729)
O (0.810, 0.964, 0.271)
O (0.860, 0.140, 0.630)
O (0.860, 0.360, 0.370)
O (0.964, 0.690, 0.271)
O (0.964, 0.810, 0.729)

Peak list (12 most intense, 10 to 90 degrees two-theta, in order of rising 2θ)
2θ/deg	d/Å	I_rel
12.54	7.061	11
21.62	4.110	77
28.26	3.158	21
30.90	2.894	100
35.98	2.496	23
37.01	2.429	19
46.00	1.973	19
49.94	1.826	11
51.45	1.776	13
51.79	1.765	11
53.18	1.722	12
61.53	1.507	15

=====

No. 3
The following is a computed powder XRD pattern of Ce3CoAs. It was derived from a GGA-PBE-relaxed structure, using Cu Kα (weighted mean of Kα1 and Kα2).
Intensities are scaled so that the largest is 100.

Atomic structure:
Cell: 7.901 7.901 7.901 Å, 51.18 51.18 51.18°
Element x y z (fractional)
Ce (0.065, 0.428, 0.774)
Ce (0.226, 0.935, 0.572)
Ce (0.428, 0.774, 0.065)
Ce (0.572, 0.226, 0.935)
Ce (0.774, 0.065, 0.428)
Ce (0.935, 0.572, 0.226)
Co (0.163, 0.163, 0.163)
Co (0.837, 0.837, 0.837)
As (0.343, 0.343, 0.343)
As (0.657, 0.657, 0.657)

Peak list (12 most intense, 10 to 90 degrees two-theta, in order of rising 2θ)
2θ/deg	d/Å	I_rel
17.31	5.123	10
26.03	3.423	15
29.24	3.055	100
37.20	2.417	49
46.07	1.970	32
47.94	1.897	24
53.67	1.708	10
55.50	1.656	15
60.63	1.527	11
73.24	1.292	13
74.91	1.268	11
79.38	1.207	9

=====

No. 4
The following is a computed powder XRD pattern of PaSbCl3. It was derived from a GGA-PBE-relaxed structure, using Cu Kα (weighted mean of Kα1 and Kα2).
Intensities are scaled so that the largest is 100.

Atomic structure:
Cell: 7.254 8.105 13.626 Å, 90.00 90.68 90.00°
Element x y z (fractional)
Pa (0.077, 0.129, 0.135)
Pa (0.077, 0.871, 0.635)
Pa (0.923, 0.129, 0.365)
Pa (0.923, 0.871, 0.865)
Sb (0.171, 0.421, 0.292)
Sb (0.171, 0.579, 0.792)
Sb (0.829, 0.421, 0.208)
Sb (0.829, 0.579, 0.708)
Cl (0.131, 0.168, 0.532)
Cl (0.131, 0.832, 0.032)
Cl (0.221, 0.044, 0.787)
Cl (0.221, 0.956, 0.287)
Cl (0.357, 0.248, 0.053)
Cl (0.357, 0.752, 0.553)
Cl (0.643, 0.248, 0.447)
Cl (0.643, 0.752, 0.947)
Cl (0.779, 0.044, 0.713)
Cl (0.779, 0.956, 0.213)
Cl (0.869, 0.168, 0.968)
Cl (0.869, 0.832, 0.468)

Peak list (12 most intense, 10 to 90 degrees two-theta, in order of rising 2θ)
2θ/deg	d/Å	I_rel
10.92	8.105	20
12.20	7.253	100
12.71	6.966	78
16.40	5.405	16
17.71	5.009	33
20.89	4.253	17
28.41	3.142	15
29.09	3.069	16
30.14	2.965	15
31.98	2.799	29
33.86	2.648	29
39.39	2.287	14

=====

No. 5
The following is a computed powder XRD pattern of HfZr2Se4. It was derived from a GGA-PBE-relaxed structure, using Cu Kα (weighted mean of Kα1 and Kα2).
Intensities are scaled so that the largest is 100.

Atomic structure:
Cell: 14.422 3.659 6.764 Å, 90.00 117.06 90.00°
Element x y z (fractional)
Hf (0.000, 0.000, 0.000)
Hf (0.500, 0.500, 0.000)
Zr (0.246, 0.500, 0.696)
Zr (0.254, 0.000, 0.304)
Zr (0.746, 0.000, 0.696)
Zr (0.754, 0.500, 0.304)
Se (0.104, 0.000, 0.440)
Se (0.133, 0.500, 0.965)
Se (0.367, 0.000, 0.035)
Se (0.396, 0.500, 0.560)
Se (0.604, 0.500, 0.440)
Se (0.633, 0.000, 0.965)
Se (0.867, 0.500, 0.035)
Se (0.896, 0.000, 0.560)

Peak list (12 most intense, 10 to 90 degrees two-theta, in order of rising 2θ)
2θ/deg	d/Å	I_rel
14.90	5.945	73
25.31	3.519	40
27.72	3.218	34
30.99	2.886	53
31.18	2.868	41
32.18	2.781	40
36.95	2.433	35
38.35	2.347	47
39.50	2.282	69
39.81	2.264	100
47.36	1.919	74
49.84	1.830	41

=====

No. 6
The following is a computed powder XRD pattern of Cs2KAg2I6. It was derived from a GGA-PBE-relaxed structure, using Cu Kα (weighted mean of Kα1 and Kα2).
Intensities are scaled so that the largest is 100.

Atomic structure:
Cell: 8.742 8.742 10.228 Å, 114.00 114.00 53.66°
Element x y z (fractional)
Cs (0.210, 0.210, 0.215)
Cs (0.790, 0.790, 0.785)
K (0.000, 0.000, 0.500)
Ag (0.445, 0.445, 0.759)
Ag (0.555, 0.555, 0.241)
I (0.163, 0.693, 0.172)
I (0.251, 0.251, 0.625)
I (0.307, 0.837, 0.828)
I (0.693, 0.163, 0.172)
I (0.749, 0.749, 0.375)
I (0.837, 0.307, 0.828)

Peak list (12 most intense, 10 to 90 degrees two-theta, in order of rising 2θ)
2θ/deg	d/Å	I_rel
19.50	4.552	100
20.85	4.261	89
22.88	3.887	63
25.61	3.478	81
25.97	3.430	66
28.85	3.095	64
29.13	3.065	55
29.41	3.037	46
29.83	2.995	62
42.37	2.133	52
43.37	2.086	56
45.98	1.974	50